[1]
The following is a simulated powder X-ray diffraction pattern of MgMn4Cd2O8. It was derived from a GGA+U-relaxed structure, using Cu Kα (weighted mean of Kα1 and Kα2).
No peak broadening, texture or thermal motion is included.

Structural model:
Lattice parameters (Å, degrees): 5.9666 6.4188 6.5165 61.93 62.77 89.84
Space group P1 (No. 1)
One atom of each set of equivalent atoms:
1 Mg 0.0000 0.0000 0.0000
2 Mn 0.4433 0.4419 0.1145
3 Mn 0.4528 0.9340 0.0956
4 Mn 0.4662 0.9544 0.5680
5 Mn 0.9657 0.9545 0.5679
6 Cd 0.0144 0.4701 0.9713
7 Cd 0.7717 0.5031 0.4624
8 O 0.1884 0.1637 0.1155
9 O 0.1954 0.7066 0.0859
10 O 0.2068 0.1537 0.5828
11 O 0.2300 0.7682 0.5407
12 O 0.6788 0.7176 0.6457
13 O 0.6810 0.1161 0.6371
14 O 0.6950 0.1655 0.1154
15 O 0.7207 0.7072 0.0870

Top 10 peaks for 15 to 90 degrees two-theta, most intense first:
| 2θ (°) | intensity | hkl |
| --- | --- | --- |
| 36.51 | 100 | 0 0 2 |
| 32.85 | 90 | 0 2 0 |
| 20.33 | 72 | 1 -1 0 |
| 33.82 | 70 | 0 2 2 |
| 27.00 | 69 | 1 1 0 |
| 31.04 | 67 | 1 0 -1 |
| 27.58 | 65 | 1 1 2 |
| 33.23 | 62 | 1 2 2 |
| 29.95 | 61 | 2 0 1 |
| 34.31 | 59 | 2 -1 1 |

***

[2]
The following is a simulated powder X-ray diffraction pattern of NiH2SO5. It was derived from a GGA+U-relaxed structure, using Cu Kα (weighted mean of Kα1 and Kα2).
No peak broadening, texture or thermal motion is included.

Structural model:
Lattice parameters (Å, degrees): 6.8555 7.6526 7.4892 90.00 116.43 90.00
Space group C2/c (No. 15)
One atom of each set of equivalent atoms:
1 Ni 0.2500 0.2500 0.0000
2 H 0.0869 0.0424 0.7029
3 S 0.0000 0.4073 0.2500
4 O 0.0000 0.1181 0.7500
5 O 0.0197 0.2969 0.0972
6 O 0.1988 0.4792 0.8439

Top 10 peaks for 15 to 90 degrees two-theta, most intense first:
| 2θ (°) | intensity | hkl |
| --- | --- | --- |
| 26.36 | 100 | 1 1 1 |
| 18.66 | 55 | 1 1 -1 |
| 35.60 | 53 | 0 2 2 |
| 29.43 | 46 | 2 0 -2 |
| 18.53 | 32 | 1 1 0 |
| 26.83 | 31 | 0 2 1 |
| 41.71 | 22 | 3 1 -1 |
| 26.64 | 22 | 1 1 -2 |
| 54.87 | 19 | 2 2 -4 |
| 38.27 | 17 | 1 3 -1 |

***

[3]
The following is a simulated powder X-ray diffraction pattern of LiV2F7. It was derived from a GGA+U-relaxed structure, using Cu Kα (weighted mean of Kα1 and Kα2).
No peak broadening, texture or thermal motion is included.

Structural model:
Lattice parameters (Å, degrees): 17.6261 4.9644 5.6368 90.00 92.93 90.00
Space group C2/c (No. 15)
One atom of each set of equivalent atoms:
1 Li 0.2500 0.2500 0.0000
2 V 0.1064 0.2457 0.2798
3 F 0.0000 0.3873 0.2500
4 F 0.0753 0.0498 0.5695
5 F 0.1400 0.4475 0.9859
6 F 0.2067 0.0968 0.2930

Top 10 peaks for 15 to 90 degrees two-theta, most intense first:
| 2θ (°) | intensity | hkl |
| --- | --- | --- |
| 24.27 | 100 | 1 1 -1 |
| 20.18 | 75 | 4 0 0 |
| 24.61 | 69 | 1 1 1 |
| 40.20 | 35 | 7 1 0 |
| 52.11 | 34 | 1 1 -3 |
| 39.23 | 34 | 3 1 -2 |
| 54.14 | 31 | 4 2 2 |
| 28.83 | 29 | 3 1 1 |
| 53.67 | 25 | 9 1 1 |
| 63.98 | 24 | 5 3 -1 |

***

[4]
The following is a simulated powder X-ray diffraction pattern of Li2VF5. It was derived from a GGA+U-relaxed structure, using Cu Kα (weighted mean of Kα1 and Kα2).
No peak broadening, texture or thermal motion is included.

Structural model:
Lattice parameters (Å, degrees): 6.3987 7.6199 8.1299 90.00 90.00 90.00
Space group P2_12_12_1 (No. 19)
One atom of each set of equivalent atoms:
1 Li 0.0130 0.0887 0.0252
2 Li 0.2100 0.7512 0.7179
3 V 0.2325 0.2530 0.6483
4 F 0.0101 0.7322 0.2751
5 F 0.0816 0.7522 0.9403
6 F 0.0844 0.2479 0.8554
7 F 0.2090 0.5038 0.6102
8 F 0.2388 0.0009 0.6225

Top 10 peaks for 15 to 90 degrees two-theta, most intense first:
| 2θ (°) | intensity | hkl |
| --- | --- | --- |
| 21.17 | 100 | 1 1 1 |
| 25.97 | 90 | 1 0 2 |
| 23.35 | 61 | 0 2 0 |
| 15.94 | 49 | 0 1 1 |
| 48.18 | 34 | 3 0 2 |
| 47.74 | 30 | 0 4 0 |
| 32.25 | 29 | 0 2 2 |
| 45.45 | 27 | 2 1 3 |
| 55.15 | 18 | 1 4 2 |
| 70.17 | 18 | 3 4 2 |

***

[5]
The following is a simulated powder X-ray diffraction pattern of Li9Mn2Co5O16. It was derived from a GGA+U-relaxed structure, using Cu Kα (weighted mean of Kα1 and Kα2).
No peak broadening, texture or thermal motion is included.

Structural model:
Lattice parameters (Å, degrees): 5.1710 5.9036 10.0336 88.27 79.27 71.65
Space group P-1 (No. 2)
One atom of each set of equivalent atoms:
1 Li 0.0000 0.0000 0.0000
2 Li 0.4913 0.6315 0.8818
3 Li 0.4958 0.8702 0.1188
4 Li 0.4974 0.3709 0.6245
5 Li 0.4995 0.1254 0.3744
6 Mn 0.0044 0.7520 0.7524
7 Co 0.0000 0.0000 0.5000
8 Co 0.0000 0.5000 0.0000
9 Co 0.0000 0.5000 0.5000
10 Co 0.0082 0.7530 0.2385
11 O 0.2092 0.4281 0.3191
12 O 0.2170 0.2056 0.5664
13 O 0.2219 0.2144 0.0688
14 O 0.2284 0.9240 0.8046
15 O 0.2286 0.4519 0.8150
16 O 0.2318 0.9522 0.3095
17 O 0.2345 0.7068 0.5691
18 O 0.2404 0.6882 0.0740

Top 10 peaks for 15 to 90 degrees two-theta, most intense first:
| 2θ (°) | intensity | hkl |
| --- | --- | --- |
| 18.40 | 100 | 1 0 0 |
| 42.45 | 30 | 2 2 2 |
| 44.21 | 26 | 1 -2 2 |
| 44.30 | 25 | 1 0 -4 |
| 36.44 | 25 | 0 2 -2 |
| 35.20 | 15 | 1 2 2 |
| 62.90 | 15 | 3 0 4 |
| 47.62 | 9 | 2 0 4 |
| 63.03 | 7 | 1 4 0 |
| 63.12 | 7 | 1 2 6 |

***

[6]
The following is a simulated powder X-ray diffraction pattern of KAl4Fe3H2O12. It was derived from a GGA+U-relaxed structure, using Cu Kα (weighted mean of Kα1 and Kα2).
No peak broadening, texture or thermal motion is included.

Structural model:
Lattice parameters (Å, degrees): 5.4258 9.4084 10.5155 90.00 100.28 90.00
Space group C2/m (No. 12)
One atom of each set of equivalent atoms:
1 K 0.0000 0.0000 0.0000
2 Al 0.0742 0.3334 0.2188
3 Fe 0.0000 0.1737 0.5000
4 Fe 0.0000 0.5000 0.5000
5 H 0.0843 0.0000 0.3067
6 O 0.0592 0.5000 0.8147
7 O 0.1261 0.0000 0.4021
8 O 0.1266 0.1890 0.8162
9 O 0.1363 0.3353 0.4042

Top 10 peaks for 15 to 90 degrees two-theta, most intense first:
| 2θ (°) | intensity | hkl |
| --- | --- | --- |
| 33.52 | 100 | 2 0 0 |
| 25.83 | 55 | 0 0 3 |
| 58.93 | 46 | 3 3 -1 |
| 40.49 | 30 | 1 3 -3 |
| 34.69 | 19 | 0 0 4 |
| 44.40 | 19 | 1 3 3 |
| 53.25 | 18 | 1 3 -5 |
| 36.06 | 17 | 1 3 -2 |
| 46.33 | 17 | 1 3 -4 |
| 40.71 | 15 | 2 0 2 |

***

[7]
The following is a simulated powder X-ray diffraction pattern of Li2MnP2O7. It was derived from a GGA+U-relaxed structure, using Cu Kα (weighted mean of Kα1 and Kα2).
No peak broadening, texture or thermal motion is included.

Structural model:
Lattice parameters (Å, degrees): 9.6261 5.1265 11.7840 90.00 103.68 90.00
Space group C2/c (No. 15)
One atom of each set of equivalent atoms:
1 Li 0.1339 0.2351 0.1384
2 Mn 0.2500 0.2500 0.5000
3 P 0.0349 0.2996 0.8740
4 O 0.0000 0.1312 0.7500
5 O 0.1125 0.1083 0.9658
6 O 0.1130 0.3856 0.6107
7 O 0.1260 0.4663 0.3547

Top 10 peaks for 15 to 90 degrees two-theta, most intense first:
| 2θ (°) | intensity | hkl |
| --- | --- | --- |
| 22.05 | 100 | 1 1 1 |
| 32.95 | 56 | 3 1 -1 |
| 21.51 | 49 | 2 0 -2 |
| 15.48 | 47 | 0 0 2 |
| 32.45 | 31 | 1 1 3 |
| 39.18 | 23 | 1 1 4 |
| 32.59 | 15 | 2 0 -4 |
| 48.57 | 13 | 2 2 -4 |
| 19.75 | 11 | 1 1 0 |
| 53.02 | 11 | 4 2 0 |

***

[8]
The following is a simulated powder X-ray diffraction pattern of VH3O4. It was derived from a GGA+U-relaxed structure, using Cu Kα (weighted mean of Kα1 and Kα2).
No peak broadening, texture or thermal motion is included.

Structural model:
Lattice parameters (Å, degrees): 7.4188 7.4188 10.5461 90.00 90.00 90.00
Space group I4_1md (No. 109)
One atom of each set of equivalent atoms:
1 V 0.0000 0.2497 0.0000
2 H 0.0000 0.0000 0.1599
3 H 0.0000 0.0000 0.5904
4 H 0.2060 0.2158 0.3802
5 O 0.0000 0.0000 0.0669
6 O 0.0000 0.0000 0.6832
7 O 0.0000 0.0911 0.3818
8 O 0.1928 0.3060 0.1259

Top 10 peaks for 15 to 90 degrees two-theta, most intense first:
| 2θ (°) | intensity | hkl |
| --- | --- | --- |
| 28.20 | 100 | 2 1 1 |
| 29.44 | 96 | 2 0 2 |
| 28.09 | 62 | 1 0 3 |
| 48.99 | 49 | 2 2 4 |
| 44.81 | 37 | 3 0 3 |
| 51.49 | 24 | 4 1 1 |
| 58.31 | 23 | 4 2 2 |
| 49.12 | 22 | 4 0 0 |
| 63.29 | 14 | 5 0 1 |
| 63.12 | 14 | 3 2 5 |